For Ga2H6Se3O12, the GGA-PBE geometry in the Materials Project gives the calculated X-ray powder pattern in this record (Cu Kα (weighted mean of Kα1 and Kα2)).

Structure:
Unit cell a=9.3893 b=9.3893 c=20.1191 alpha=90.00 beta=90.00 gamma=120.00
Space group R3c (No. 161, hexagonal axes)
Inequivalent atoms, fractional coordinates:
1 Ga 0.0000 0.0000 0.0000 x6
2 Ga 0.0000 0.0000 0.2358 x6
3 H 0.1116 0.3669 0.4540 x18
4 H 0.1934 0.0890 0.3431 x18
5 Se 0.0547 0.4919 0.2870 x18
6 O 0.0382 0.1962 0.1863 x18
7 O 0.0407 0.1931 0.0541 x18
8 O 0.1842 0.4697 0.1096 x18
9 O 0.1857 0.0459 0.8014 x18

The 10 most intense peaks (5° ≤ 2θ ≤ 70°), low angle first:
two_theta, Rel. int., index
14.0, 69.4, 0 1 2
18.9, 34.5, 1 1 0
23.6, 96.3, 2 0 2
26.6, 20.7, 0 0 6
28.2, 100.0, 0 2 4
30.4, 36.1, 1 2 2
34.2, 65.4, 2 1 4
36.8, 21.0, 1 2 5
51.5, 23.4, 4 1 0
53.4, 21.3, 1 4 3